Entry 1:
Starting from a DFT-relaxed cell (GGA-PBE, Alexandria), the X-ray powder pattern of RbMg was calculated for Cu Kα X-rays.
Intensities are scaled so that the largest is 100.

Largest 10 diffraction maxima, by angle, 2θ = 10–90°:
20.2 deg, d 4.386, intensity 77
22.6 deg, d 3.940, intensity 66
23.0 deg, d 3.873, intensity 55
24.0 deg, d 3.705, intensity 100
24.4 deg, d 3.655, intensity 84
27.0 deg, d 3.301, intensity 50
28.5 deg, d 3.132, intensity 56
29.7 deg, d 3.013, intensity 63
33.7 deg, d 2.661, intensity 39
38.8 deg, d 2.323, intensity 51

Structural model:
```
RbMg
1.0
5.322 0.000 0.000
0.000 11.723 0.000
0.000 0.000 10.321
Rb Mg
6 6
Direct
0.000 0.000 0.000
0.000 0.500 0.500
0.500 0.191 0.353
0.500 0.309 0.853
0.500 0.691 0.853
0.500 0.809 0.353
0.000 0.131 0.638
0.000 0.369 0.138
0.000 0.631 0.138
0.000 0.869 0.638
0.500 0.000 0.687
0.500 0.500 0.187
```



Entry 2:
Starting from a DFT-relaxed cell (GGA-PBE, Alexandria), the X-ray powder pattern of LiCaTa2 was calculated for Cu Kα X-rays.
Intensities are scaled so that the largest is 100.

Largest 10 diffraction maxima, by angle, 2θ = 10–90°:
12.0 deg, d 7.372, intensity 100
24.1 deg, d 3.686, intensity 11
28.1 deg, d 3.173, intensity 12
35.3 deg, d 2.544, intensity 43
36.1 deg, d 2.485, intensity 29
38.2 deg, d 2.355, intensity 26
45.0 deg, d 2.014, intensity 21
56.4 deg, d 1.632, intensity 11
64.4 deg, d 1.446, intensity 15
71.2 deg, d 1.324, intensity 11

Structural model:
```
LiCaTa2
1.0
3.515 0.000 0.000
0.000 3.515 0.000
0.000 0.000 7.372
Li Ca Ta
1 1 2
Direct
0.000 0.000 0.000
0.500 0.500 0.681
0.000 0.000 0.382
0.500 0.500 0.232
```



Entry 3:
Starting from a DFT-relaxed cell (GGA-PBE, Alexandria), the X-ray powder pattern of Pr5GaBi3 was calculated for Cu Kα X-rays.
Intensities are scaled so that the largest is 100.

Largest 10 diffraction maxima, by angle, 2θ = 10–90°:
26.8 deg, d 3.327, intensity 20
31.0 deg, d 2.888, intensity 91
31.6 deg, d 2.827, intensity 82
32.5 deg, d 2.752, intensity 100
40.7 deg, d 2.218, intensity 26
46.0 deg, d 1.972, intensity 25
50.0 deg, d 1.824, intensity 24
59.3 deg, d 1.558, intensity 15
61.3 deg, d 1.511, intensity 13
65.1 deg, d 1.434, intensity 21

Structural model:
```
Pr5GaBi3
1.0
9.794 0.000 0.000
-4.897 8.482 0.000
0.000 0.000 6.654
Pr Ga Bi
10 2 6
Direct
0.000 0.259 0.250
0.000 0.741 0.750
0.259 0.000 0.250
0.259 0.259 0.750
0.333 0.667 0.000
0.333 0.667 0.500
0.667 0.333 0.000
0.667 0.333 0.500
0.741 0.000 0.750
0.741 0.741 0.250
0.000 0.000 0.000
0.000 0.000 0.500
0.000 0.385 0.750
0.000 0.615 0.250
0.385 0.000 0.750
0.385 0.385 0.250
0.615 0.000 0.250
0.615 0.615 0.750
```



Entry 4:
Starting from a DFT-relaxed cell (GGA-PBE, Alexandria), the X-ray powder pattern of RbMg2In4 was calculated for Cu Kα X-rays.
Intensities are scaled so that the largest is 100.

Largest 10 diffraction maxima, by angle, 2θ = 10–90°:
14.8 deg, d 5.990, intensity 43
25.8 deg, d 3.449, intensity 100
28.8 deg, d 3.096, intensity 62
31.7 deg, d 2.819, intensity 65
33.0 deg, d 2.711, intensity 83
36.2 deg, d 2.484, intensity 54
39.5 deg, d 2.283, intensity 58
46.9 deg, d 1.938, intensity 32
50.2 deg, d 1.816, intensity 38
64.6 deg, d 1.443, intensity 32

Structural model:
```
RbMg2In4
1.0
3.359 0.000 0.000
0.000 4.968 0.000
0.000 0.000 23.960
Rb Mg In
2 4 8
Direct
0.000 0.000 0.000
0.500 0.500 0.500
0.000 0.500 0.211
0.000 0.500 0.789
0.500 0.000 0.289
0.500 0.000 0.711
0.000 0.000 0.405
0.000 0.000 0.595
0.000 0.500 0.335
0.000 0.500 0.665
0.500 0.000 0.165
0.500 0.000 0.835
0.500 0.500 0.095
0.500 0.500 0.905
```



Entry 5:
Starting from a DFT-relaxed cell (GGA-PBE, Alexandria), the X-ray powder pattern of Tb4Cd2Ag3 was calculated for Cu Kα X-rays.
Intensities are scaled so that the largest is 100.

Largest 10 diffraction maxima, by angle, 2θ = 10–90°:
29.9 deg, d 2.990, intensity 21
32.8 deg, d 2.728, intensity 37
33.1 deg, d 2.707, intensity 59
34.5 deg, d 2.596, intensity 100
36.1 deg, d 2.490, intensity 49
36.3 deg, d 2.472, intensity 19
38.6 deg, d 2.333, intensity 20
47.5 deg, d 1.913, intensity 11
53.9 deg, d 1.702, intensity 15
63.9 deg, d 1.457, intensity 17

Structural model:
```
Tb4Cd2Ag3
1.0
4.947 -2.490 0.000
4.947 2.490 0.000
-1.931 0.000 8.969
Tb Cd Ag
4 2 3
Direct
0.058 0.058 0.342
0.356 0.356 0.102
0.644 0.644 0.898
0.942 0.942 0.658
0.272 0.272 0.736
0.728 0.728 0.264
0.000 0.000 0.000
0.363 0.363 0.435
0.637 0.637 0.565
```



Entry 6:
Starting from a DFT-relaxed cell (GGA-PBE, Alexandria), the X-ray powder pattern of K2ZnP4H8O16 was calculated for Cu Kα X-rays.
Intensities are scaled so that the largest is 100.

Largest 10 diffraction maxima, by angle, 2θ = 10–90°:
12.2 deg, d 7.253, intensity 52
13.2 deg, d 6.701, intensity 37
17.3 deg, d 5.116, intensity 38
18.3 deg, d 4.849, intensity 70
24.1 deg, d 3.689, intensity 100
25.9 deg, d 3.445, intensity 37
26.6 deg, d 3.354, intensity 40
27.4 deg, d 3.254, intensity 43
30.0 deg, d 2.982, intensity 44
34.5 deg, d 2.596, intensity 37

Structural model:
```
K2ZnP4H8O16
1.0
6.991 0.000 0.000
0.766 7.439 0.000
2.125 0.999 7.253
K Zn P H O
2 1 4 8 16
Direct
0.122 0.243 0.297
0.878 0.757 0.703
0.500 0.000 0.500
0.255 0.311 0.758
0.322 0.770 0.244
0.678 0.230 0.756
0.745 0.689 0.242
0.048 0.768 0.076
0.250 0.548 0.479
0.369 0.821 0.856
0.381 0.685 0.712
0.619 0.315 0.288
0.631 0.179 0.144
0.750 0.452 0.521
0.952 0.232 0.924
0.081 0.281 0.939
0.236 0.582 0.343
0.236 0.834 0.081
0.255 0.510 0.672
0.263 0.178 0.626
0.296 0.901 0.383
0.442 0.271 0.850
0.444 0.792 0.731
0.556 0.208 0.269
0.558 0.729 0.150
0.704 0.099 0.617
0.737 0.822 0.374
0.745 0.490 0.328
0.764 0.166 0.919
0.764 0.418 0.657
0.919 0.719 0.061
```



Entry 7:
Starting from a DFT-relaxed cell (GGA-PBE, Alexandria), the X-ray powder pattern of Gd4Ga16Co3 was calculated for Cu Kα X-rays.
Intensities are scaled so that the largest is 100.

Largest 10 diffraction maxima, by angle, 2θ = 10–90°:
20.8 deg, d 4.280, intensity 17
31.9 deg, d 2.807, intensity 23
33.7 deg, d 2.660, intensity 57
38.3 deg, d 2.347, intensity 100
40.4 deg, d 2.231, intensity 29
42.2 deg, d 2.140, intensity 73
44.2 deg, d 2.051, intensity 18
59.9 deg, d 1.544, intensity 34
61.3 deg, d 1.513, intensity 22
74.6 deg, d 1.272, intensity 24

Structural model:
```
Gd4Ga16Co3
1.0
6.053 0.000 0.000
0.000 6.053 0.000
0.000 0.000 11.157
Gd Ga Co
4 16 3
Direct
0.000 0.500 0.195
0.000 0.500 0.805
0.500 0.000 0.195
0.500 0.000 0.805
0.000 0.000 0.195
0.000 0.000 0.805
0.220 0.220 0.000
0.220 0.780 0.000
0.251 0.251 0.385
0.251 0.251 0.615
0.251 0.749 0.385
0.251 0.749 0.615
0.500 0.500 0.218
0.500 0.500 0.782
0.749 0.251 0.385
0.749 0.251 0.615
0.749 0.749 0.385
0.749 0.749 0.615
0.780 0.220 0.000
0.780 0.780 0.000
0.000 0.500 0.500
0.500 0.000 0.500
0.500 0.500 0.000
```



Entry 8:
Starting from a DFT-relaxed cell (GGA-PBE, Alexandria), the X-ray powder pattern of Li3Mg2Pt3 was calculated for Cu Kα X-rays.
Intensities are scaled so that the largest is 100.

Largest 10 diffraction maxima, by angle, 2θ = 10–90°:
15.8 deg, d 5.596, intensity 24
20.4 deg, d 4.364, intensity 100
27.0 deg, d 3.300, intensity 25
28.2 deg, d 3.165, intensity 37
30.9 deg, d 2.897, intensity 51
39.2 deg, d 2.299, intensity 32
42.4 deg, d 2.134, intensity 72
42.9 deg, d 2.106, intensity 35
44.5 deg, d 2.034, intensity 27
45.0 deg, d 2.013, intensity 20

Structural model:
```
Li3Mg2Pt3
1.0
4.598 0.000 0.000
0.000 11.192 0.000
0.000 0.000 4.739
Li Mg Pt
6 4 6
Direct
0.250 0.002 0.156
0.250 0.498 0.156
0.250 0.750 0.172
0.750 0.250 0.828
0.750 0.502 0.844
0.750 0.998 0.844
0.250 0.115 0.631
0.250 0.385 0.631
0.750 0.615 0.369
0.750 0.885 0.369
0.250 0.250 0.119
0.250 0.625 0.685
0.250 0.875 0.685
0.750 0.125 0.315
0.750 0.375 0.315
0.750 0.750 0.881
```



Entry 9:
Starting from a DFT-relaxed cell (GGA-PBE, Alexandria), the X-ray powder pattern of CeErGa2Au2 was calculated for Cu Kα X-rays.
Intensities are scaled so that the largest is 100.

Largest 10 diffraction maxima, by angle, 2θ = 10–90°:
25.7 deg, d 3.460, intensity 26
33.5 deg, d 2.672, intensity 100
39.7 deg, d 2.270, intensity 69
43.8 deg, d 2.066, intensity 7
50.1 deg, d 1.822, intensity 10
52.9 deg, d 1.730, intensity 28
65.7 deg, d 1.421, intensity 26
68.2 deg, d 1.376, intensity 26
72.1 deg, d 1.311, intensity 12
85.6 deg, d 1.135, intensity 8

Structural model:
```
CeErGa2Au2
1.0
4.540 0.000 0.000
-2.270 3.932 0.000
0.000 0.000 7.286
Ce Er Ga Au
1 1 2 2
Direct
0.000 0.000 0.000
0.000 0.000 0.500
0.333 0.667 0.257
0.667 0.333 0.743
0.333 0.667 0.726
0.667 0.333 0.274
```



Entry 10:
Starting from a DFT-relaxed cell (GGA-PBE, Alexandria), the X-ray powder pattern of SmThIr2 was calculated for Cu Kα X-rays.
Intensities are scaled so that the largest is 100.

Largest 10 diffraction maxima, by angle, 2θ = 10–90°:
32.0 deg, d 2.797, intensity 100
32.7 deg, d 2.737, intensity 34
33.6 deg, d 2.671, intensity 14
39.0 deg, d 2.307, intensity 22
39.8 deg, d 2.267, intensity 73
42.1 deg, d 2.144, intensity 28
46.3 deg, d 1.960, intensity 21
54.4 deg, d 1.688, intensity 17
57.9 deg, d 1.594, intensity 14
64.4 deg, d 1.447, intensity 16

Structural model:
```
SmThIr2
1.0
4.288 0.000 0.000
0.000 3.920 0.000
0.000 0.000 10.947
Sm Th Ir
2 2 4
Direct
0.000 0.000 0.000
0.000 0.500 0.500
0.500 0.000 0.279
0.500 0.500 0.779
0.000 0.000 0.730
0.000 0.500 0.230
0.500 0.000 0.550
0.500 0.500 0.050
```



> What is the formula in the tenth record?

SmThIr2